Starting from a cell relaxed with GGA+U, the X-ray powder pattern of Li2VCrO4 was computed for Cu Kα (weighted mean of Kα1 and Kα2).
Kinematic intensities with the Lorentz-polarization factor, no thermal factor.

Crystal structure
abc: 5.153 5.168 5.997
angles: 106.78 90.06 99.79
Space group P-1 (No. 2)
Asymmetric unit:
1 Li 0.000 0.000 0.000 [1 per cell]
2 Li 0.000 0.000 0.500 [1 per cell]
3 Li 0.496 0.003 0.257 [2 per cell]
4 V 0.251 0.500 0.876 [2 per cell]
5 Cr 0.250 0.500 0.376 [2 per cell]
6 O 0.121 0.726 0.679 [2 per cell]
7 O 0.122 0.728 0.185 [2 per cell]
8 O 0.377 0.272 0.071 [2 per cell]
9 O 0.380 0.274 0.566 [2 per cell]

Largest 10 diffraction maxima, by angle, 2θ from 15° to 90°:
18.22 deg, I 100, hkl 0 1 0
35.16 deg, I 27, hkl 1 -1 2
35.40 deg, I 13, hkl 2 0 0
36.86 deg, I 11, hkl 0 2 0
42.74 deg, I 58, hkl 1 -2 2
43.06 deg, I 28, hkl 2 1 0
46.92 deg, I 13, hkl 1 2 -2
56.56 deg, I 9, hkl -1 2 2
62.23 deg, I 23, hkl 3 0 -2
62.31 deg, I 15, hkl 3 -1 2